The following is a simulated XRD peak list of RbGe4Pt4. It was derived from the PBE geometry in the Materials Project, using Cu Kα, 1.54184 Å.
Intensities are scaled so that the largest is 100.

Atomic structure:
```
RbGe4Pt4
1.0
-4.421 4.421 2.411
4.421 -4.421 2.411
4.421 4.421 -2.411
Rb Ge Pt
1 4 4
direct
0.000 0.000 0.000
0.182 0.681 0.265
0.416 0.917 0.735
0.681 0.416 0.499
0.917 0.182 0.501
0.126 0.974 0.501
0.472 0.624 0.499
0.624 0.126 0.152
0.974 0.472 0.848
```

Largest 10 diffraction maxima, in order of rising 2θ, 2θ = 10–80°:
| 2θ (°) | I/Imax |
| --- | --- |
| 14.2 | 60 |
| 20.1 | 49 |
| 29.2 | 98 |
| 32.0 | 96 |
| 37.3 | 49 |
| 41.3 | 33 |
| 42.7 | 32 |
| 43.4 | 39 |
| 46.3 | 100 |
| 58.5 | 47 |